Starting from a crystal structure in Alexandria, relaxed with GGA+U, the PXRD pattern of CeNi3Se4O12 was computed for Cu Ka.
Lines closer than 0.1° are merged.

Cell and atoms:
Cell lengths 6.6816, 6.6816, 6.6816 Å; angles 105.62, 105.62, 105.62 degrees
Fractional positions:
Ce: 0.0000 0.0000 0.0000
Ni: 0.0000 0.5800 0.4200
Ni: 0.4200 0.0000 0.5800
Ni: 0.5800 0.4200 0.0000
Se: 0.1089 0.5000 0.8911
Se: 0.5000 0.5000 0.5000
Se: 0.5000 0.8911 0.1089
Se: 0.8911 0.1089 0.5000
O: 0.0016 0.2486 0.3179
O: 0.0528 0.9472 0.5000
O: 0.2486 0.3179 0.0016
O: 0.3179 0.0016 0.2486
O: 0.3249 0.6751 0.5000
O: 0.5000 0.0528 0.9472
O: 0.5000 0.3249 0.6751
O: 0.6751 0.5000 0.3249
O: 0.6821 0.7514 0.9984
O: 0.7514 0.9984 0.6821
O: 0.9472 0.5000 0.0528
O: 0.9984 0.6821 0.7514

Most intense lines, 2θ = 10–90°, by intensity:
d [Å]  2θ (°)  I/Imax
2.991  29.9  100
3.073  29.1  62
3.186  28.0  46
1.863  48.9  40
2.351  38.3  36
2.432  37.0  32
1.669  55.0  32
1.476  63.0  24
2.607  34.4  24
1.808  50.5  21